Diffraction record for K2Pm2VS6. The powder diffractogram is theoretical, not measured: it uses a PBE-relaxed structure and CuKα.
Kinematic intensities with the Lorentz-polarization factor, no thermal factor.

Crystal structure
Cell lengths 6.7731, 6.7731, 7.8617 Å; angles 98.74, 98.74, 119.02 degrees
Atoms (fractional coordinates):
K1 0.1718 0.8282 0.0000
K2 0.8282 0.1718 0.0000
Pm1 0.3335 0.6665 0.5000
Pm2 0.6665 0.3335 0.5000
V1 0.0000 0.0000 0.5000
S1 0.0662 0.3629 0.6925
S2 0.2251 0.2251 0.3102
S3 0.3629 0.0662 0.6925
S4 0.6371 0.9338 0.3075
S5 0.7749 0.7749 0.6898
S6 0.9338 0.6371 0.3075

Peak list (10 most intense, 2θ from 10° to 90°, most intense first)
11.80°, rel. 100; 30.88°, rel. 65; 41.66°, rel. 36; 30.37°, rel. 35; 45.97°, rel. 20; 52.18°, rel. 16; 26.64°, rel. 16; 38.70°, rel. 16; 27.48°, rel. 14; 23.72°, rel. 13


Diffraction record for Ba5ZnAg2. The powder diffractogram is theoretical, not measured: it uses a PBE-relaxed structure and CuKα.
Kinematic intensities with the Lorentz-polarization factor, no thermal factor.

Crystal structure
Cell lengths 10.5043, 10.5043, 10.5043 Å; angles 129.35, 129.35, 74.45 degrees
Atoms (fractional coordinates):
Ba1 0.0000 0.0000 0.0000
Ba2 0.0277 0.5277 0.8411
Ba3 0.1866 0.0277 0.5000
Ba4 0.3134 0.8134 0.8411
Ba5 0.4723 0.3134 0.5000
Ba6 0.5000 0.5000 0.0000
Ba7 0.5277 0.6866 0.5000
Ba8 0.6866 0.1866 0.1589
Ba9 0.8134 0.9723 0.5000
Ba10 0.9723 0.4723 0.1589
Zn1 0.2500 0.2500 0.0000
Zn2 0.7500 0.7500 0.0000
Ag1 0.1173 0.3827 0.5000
Ag2 0.3827 0.8827 0.2653
Ag3 0.6173 0.1173 0.7347
Ag4 0.8827 0.6173 0.5000

Peak list (10 most intense, 2θ from 10° to 90°, most intense first)
27.35°, rel. 100; 31.48°, rel. 42; 29.17°, rel. 39; 54.45°, rel. 19; 48.15°, rel. 15; 44.64°, rel. 13; 10.58°, rel. 13; 32.10°, rel. 12; 28.08°, rel. 12; 34.89°, rel. 12


Diffraction record for Nd8Co3. The powder diffractogram is theoretical, not measured: it uses a PBE-relaxed structure and CuKα.
Kinematic intensities with the Lorentz-polarization factor, no thermal factor.

Crystal structure
Cell lengths 6.8177, 6.8177, 6.8177 Å; angles 88.87, 88.87, 88.87 degrees
Atoms (fractional coordinates):
Nd1 0.1556 0.1556 0.1556
Nd2 0.1665 0.6584 0.3322
Nd3 0.3322 0.1665 0.6584
Nd4 0.3416 0.6678 0.8335
Nd5 0.6584 0.3322 0.1665
Nd6 0.6678 0.8335 0.3416
Nd7 0.8335 0.3416 0.6678
Nd8 0.8444 0.8444 0.8444
Co1 0.0000 0.0000 0.5000
Co2 0.0000 0.5000 0.0000
Co3 0.5000 0.0000 0.0000

Peak list (10 most intense, 2θ from 10° to 90°, most intense first)
29.53°, rel. 100; 29.07°, rel. 67; 32.28°, rel. 36; 31.64°, rel. 29; 50.01°, rel. 24; 50.45°, rel. 18; 50.60°, rel. 18; 44.15°, rel. 16; 26.15°, rel. 15; 49.26°, rel. 15


Diffraction record for Nd8Dy2Th. The powder diffractogram is theoretical, not measured: it uses a PBE-relaxed structure and CuKα.
Kinematic intensities with the Lorentz-polarization factor, no thermal factor.

Crystal structure
Cell lengths 8.6049, 8.6049, 5.4630 Å; angles 90.00, 90.00, 105.31 degrees
Atoms (fractional coordinates):
Nd1 0.1684 0.1684 0.0000
Nd2 0.2033 0.4655 0.5000
Nd3 0.2486 0.7514 0.0000
Nd4 0.4655 0.2033 0.5000
Nd5 0.5345 0.7967 0.5000
Nd6 0.7514 0.2486 0.0000
Nd7 0.7967 0.5345 0.5000
Nd8 0.8316 0.8316 0.0000
Dy1 0.1196 0.8804 0.5000
Dy2 0.8804 0.1196 0.5000
Th1 0.5000 0.5000 0.0000

Peak list (10 most intense, 2θ from 10° to 90°, most intense first)
30.84°, rel. 100; 31.17°, rel. 92; 32.79°, rel. 43; 32.36°, rel. 43; 46.73°, rel. 31; 62.23°, rel. 28; 56.58°, rel. 19; 42.00°, rel. 18; 57.32°, rel. 17; 54.28°, rel. 17


Diffraction record for Pm2NdDyEr2. The powder diffractogram is theoretical, not measured: it uses a PBE-relaxed structure and CuKα.
Kinematic intensities with the Lorentz-polarization factor, no thermal factor.

Crystal structure
Cell lengths 6.5406, 18.1288, 3.4105 Å; angles 90.00, 90.00, 90.00 degrees
Atoms (fractional coordinates):
Pm1 0.2191 0.1889 0.0000
Pm2 0.2809 0.6889 0.5000
Pm3 0.7191 0.3111 0.5000
Pm4 0.7809 0.8111 0.0000
Nd1 0.0000 0.0000 0.0000
Nd2 0.5000 0.5000 0.5000
Dy1 0.0000 0.5000 0.0000
Dy2 0.5000 0.0000 0.5000
Er1 0.2164 0.3544 0.5000
Er2 0.2836 0.8544 0.0000
Er3 0.7164 0.1456 0.0000
Er4 0.7836 0.6456 0.5000

Peak list (10 most intense, 2θ from 10° to 90°, most intense first)
29.56°, rel. 100; 29.03°, rel. 99; 30.09°, rel. 93; 33.80°, rel. 62; 41.05°, rel. 61; 35.69°, rel. 46; 32.65°, rel. 43; 31.18°, rel. 39; 54.76°, rel. 33; 26.60°, rel. 32


Q: Which formula does entry 2 have?
A: Ba5ZnAg2